This entry pairs a crystal structure of Sm2Cu2O5 with its calculated powder XRD pattern. Radiation: Cu Kα (weighted mean of Kα1 and Kα2). Structure: a GGA-PBE-relaxed structure.

Crystal structure
```
Sm2Cu2O5
1.0
5.7898 0.0000 0.0000
0.0000 9.8919 0.0000
0.0000 0.0000 3.7666
Sm Cu O
4 4 10
direct
0.1445 0.1504 0.0000
0.3555 0.6504 0.0000
0.6445 0.3496 0.0000
0.8555 0.8496 0.0000
0.1890 0.4070 0.5000
0.3110 0.9070 0.5000
0.6890 0.0930 0.5000
0.8110 0.5930 0.5000
0.0000 0.0000 0.5000
0.0992 0.6991 0.5000
0.2341 0.3975 0.0000
0.2659 0.8975 0.0000
0.4008 0.1991 0.5000
0.5000 0.5000 0.5000
0.5992 0.8009 0.5000
0.7341 0.1025 0.0000
0.7659 0.6025 0.0000
0.9008 0.3009 0.5000
```

Principal peaks in the range 2θ from 10° to 80°, sorted by position:
- 23.6°, I = 23, (0 0 1)
- 29.7°, I = 31, (1 1 1)
- 32.2°, I = 43, (2 1 0)
- 33.7°, I = 100, (1 2 1)
- 36.3°, I = 26, (0 4 0)
- 39.5°, I = 35, (1 3 1)
- 39.6°, I = 26, (1 4 0)
- 40.3°, I = 32, (2 1 1)
- 48.3°, I = 32, (0 0 2)
- 54.2°, I = 21, (3 1 1)
- 59.3°, I = 16, (2 1 2)
- 61.9°, I = 30, (0 4 2)